Na3ErV2O8: computed PXRD pattern (Cu Kα, 1.54184 Å), based on a DFT-relaxed cell (PBE+U, Alexandria).
Peak positions follow from Bragg's law for the DFT cell and can differ from measured ones.

Cell and atoms:
a = 5.574 Å, b = 9.840 Å, c = 8.915 Å
α = 90.00°, β = 125.43°, γ = 90.00°
Space group P2_1/c (No. 14)
Inequivalent atoms, fractional coordinates:
Na (0.000, 0.000, 0.000) x2
Na (0.301, 0.143, 0.792) x4
Er (0.500, 0.000, 0.500) x2
V (0.205, 0.682, 0.223) x4
O (0.141, 0.131, 0.468) x4
O (0.197, 0.641, 0.760) x4
O (0.269, 0.598, 0.409) x4
O (0.484, 0.637, 0.195) x4

Most intense lines, 10° ≤ 2θ ≤ 90°, most intense first:
d 5.844, 15.2°, I 100, (0 1 1); d 2.826, 31.7°, I 77, (1 3 -1); d 2.922, 30.6°, I 65, (0 2 2); d 2.976, 30.0°, I 50, (1 1 1); d 4.844, 18.3°, I 37, (1 1 -1); d 2.783, 32.2°, I 35, (2 0 -2); d 1.667, 55.1°, I 33, (3 1 -1); d 3.337, 26.7°, I 29, (1 2 0)